For Rb2MgBeCl6, DFT lattice parameters and positions (GGA-PBE) gives the simulated XRD peak list in this record (Cu Kα X-rays).
Neutral-atom scattering factors, no anomalous dispersion.

Principal peaks in the range 2θ = 10–90°, by intensity:
d 2.871, intensity 100.0, (2 0 2); d 2.412, intensity 40.8, (2 2 0); d 1.786, intensity 28.6, (2 2 4); d 3.572, intensity 27.6, (1 1 2); d 2.658, intensity 27.5, (0 0 4); d 1.466, intensity 19.2, (4 2 2); d 1.435, intensity 12.7, (4 0 4); d 3.411, intensity 12.3, (2 0 0); d 1.705, intensity 12.2, (4 0 0); d 1.572, intensity 12.2, (2 0 6)

Crystal structure
abc: 6.8214 6.8214 10.6306
angles: 90.00 90.00 90.00
Space group I4/mmm (No. 139)
Unique sites:
Rb (0.0000, 0.5000, 0.2500) x4
Mg (0.0000, 0.0000, 0.0000) x2
Be (0.0000, 0.0000, 0.5000) x2
Cl (0.0000, 0.0000, 0.2264) x4
Cl (0.2269, 0.2269, 0.5000) x8